[1]
# Li6Mg8Hg
Computed XRD peak list, Cu Kα, 1.54184 Å. Input: a PBE-relaxed structure.

Cell and atoms:
Lattice parameters (Å, degrees): 8.3166 8.3166 5.3261 90.00 90.00 120.00
Space group P3 (No. 143)
Symmetry-distinct sites (fractional):
Li 0.0482 0.2690 0.0000 (multiplicity 3)
Li 0.2665 0.2187 0.4013 (multiplicity 3)
Mg 0.0944 0.4586 0.4847 (multiplicity 3)
Mg 0.3333 0.6667 0.9902 (multiplicity 1)
Mg 0.4579 0.3630 0.9179 (multiplicity 3)
Mg 0.6667 0.3333 0.4092 (multiplicity 1)
Hg 0.0000 0.0000 0.7041 (multiplicity 1)

Most intense lines, 15° ≤ 2θ ≤ 90°, in order of rising 2θ:
(0 0 1), 16.6°, I = 32
(1 0 1), 20.7°, I = 100
(1 1 0), 21.4°, I = 54
(2 0 0), 24.7°, I = 42
(1 1 1), 27.2°, I = 52
(2 0 1), 30.0°, I = 57
(1 2 0), 32.9°, I = 33
(1 0 2), 36.0°, I = 44
(3 -2 1), 37.1°, I = 80
(3 -2 2), 47.8°, I = 34


[2]
# Li8Mg3Hg2
Computed XRD peak list, Cu Kα, 1.54184 Å. Input: a PBE-relaxed structure.

Cell and atoms:
Lattice parameters (Å, degrees): 5.3443 5.3443 31.9643 90.00 90.00 120.00
Space group R-3m (No. 166, hexagonal axes)
Symmetry-distinct sites (fractional):
Li 0.0000 0.0000 0.2195 (multiplicity 6)
Li 0.0025 0.5012 0.2684 (multiplicity 18)
Mg 0.0000 0.0000 0.3172 (multiplicity 6)
Mg 0.0000 0.0000 0.5000 (multiplicity 3)
Hg 0.0000 0.0000 0.1340 (multiplicity 6)

Most intense lines, 15° ≤ 2θ ≤ 90°, in order of rising 2θ:
(1 0 1), 19.4°, I = 48
(1 0 4), 22.2°, I = 100
(0 1 5), 23.7°, I = 39
(1 0 7), 27.4°, I = 49
(0 1 8), 29.5°, I = 39
(1 1 0), 33.5°, I = 60
(1 1 3), 34.6°, I = 47
(0 1 11), 36.5°, I = 50
(2 1 4), 53.6°, I = 20
(1 2 11), 61.9°, I = 22


[3]
# Li8MgHg6
Computed XRD peak list, Cu Kα, 1.54184 Å. Input: a PBE-relaxed structure.

Cell and atoms:
Lattice parameters (Å, degrees): 8.1100 8.1100 16.8827 90.00 90.00 120.00
Space group R-3 (No. 148, hexagonal axes)
Symmetry-distinct sites (fractional):
Li 0.0000 0.0000 0.1699 (multiplicity 6)
Li 0.0013 0.3309 0.6165 (multiplicity 18)
Mg 0.0000 0.0000 0.5000 (multiplicity 3)
Hg 0.9999 0.3415 0.4450 (multiplicity 18)

Most intense lines, 15° ≤ 2θ ≤ 90°, in order of rising 2θ:
(0 0 3), 15.7°, I = 28
(1 1 0), 21.9°, I = 34
(2 -1 3), 27.1°, I = 100
(3 0 0), 38.5°, I = 39
(1 1 6), 39.0°, I = 47
(3 0 3), 41.8°, I = 15
(2 2 3), 47.7°, I = 22
(4 -2 6), 55.9°, I = 16
(5 -1 3), 62.8°, I = 19
(4 1 6), 69.9°, I = 17


[4]
# LiMgHg4
Computed XRD peak list, Cu Kα, 1.54184 Å. Input: a PBE-relaxed structure.

Cell and atoms:
Lattice parameters (Å, degrees): 8.032 4.714 8.194 90.00 107.98 90.00
Space group C2/m (No. 12)
Symmetry-distinct sites (fractional):
Li 0.000 0.000 0.000 (multiplicity 2)
Mg 0.000 0.500 0.500 (multiplicity 2)
Hg 0.120 0.000 0.360 (multiplicity 4)
Hg 0.128 0.500 0.881 (multiplicity 4)

Most intense lines, 15° ≤ 2θ ≤ 90°, in order of rising 2θ:
(1 1 1), 26.6°, I = 100
(2 0 -2), 27.2°, I = 47
(2 0 2), 37.7°, I = 23
(0 2 0), 38.1°, I = 69
(3 1 -1), 38.7°, I = 45
(0 0 4), 46.6°, I = 11
(2 2 -2), 47.5°, I = 22
(4 0 0), 47.6°, I = 11
(2 2 2), 54.8°, I = 16
(4 2 0), 62.6°, I = 18


[5]
# Li7Mg3Hg2
Computed XRD peak list, Cu Kα, 1.54184 Å. Input: a PBE-relaxed structure.

Cell and atoms:
Lattice parameters (Å, degrees): 4.727 3.291 15.672 90.00 98.27 90.00
Space group P2/m (No. 10)
Symmetry-distinct sites (fractional):
Li 0.000 0.000 0.000 (multiplicity 1)
Li 0.088 0.500 0.176 (multiplicity 2)
Li 0.269 0.500 0.539 (multiplicity 2)
Li 0.425 0.000 0.848 (multiplicity 2)
Mg 0.176 0.000 0.357 (multiplicity 2)
Mg 0.500 0.500 0.000 (multiplicity 1)
Hg 0.357 0.500 0.712 (multiplicity 2)

Most intense lines, 15° ≤ 2θ ≤ 90°, in order of rising 2θ:
(0 0 3), 17.2°, I = 88
(1 0 0), 19.0°, I = 85
(1 0 1), 20.6°, I = 49
(1 0 -2), 20.7°, I = 49
(1 0 3), 27.5°, I = 49
(1 0 -4), 27.7°, I = 50
(0 1 2), 29.5°, I = 49
(1 1 0), 33.3°, I = 58
(1 1 -2), 34.3°, I = 100
(1 1 3), 39.0°, I = 46


[6]
# Li5MgHg3
Computed XRD peak list, Cu Kα, 1.54184 Å. Input: a PBE-relaxed structure.

Cell and atoms:
Lattice parameters (Å, degrees): 8.1226 8.1226 5.8787 90.00 90.00 120.00
Space group P6_3/mcm (No. 193)
Symmetry-distinct sites (fractional):
Li 0.0000 0.3405 0.2500 (multiplicity 6)
Li 0.3333 0.6667 0.0000 (multiplicity 4)
Mg 0.0000 0.0000 0.0000 (multiplicity 2)
Hg 0.0000 0.3336 0.7500 (multiplicity 6)

Most intense lines, 15° ≤ 2θ ≤ 90°, in order of rising 2θ:
(1 1 0), 21.9°, I = 23
(1 1 1), 26.7°, I = 100
(0 0 2), 30.4°, I = 16
(1 1 2), 37.8°, I = 19
(3 0 0), 38.4°, I = 32
(2 2 1), 47.4°, I = 22
(3 0 2), 49.7°, I = 25
(1 1 3), 51.8°, I = 17
(4 1 1), 62.5°, I = 19
(4 1 3), 79.3°, I = 10


[7]
# Li7Mg2Hg3
Computed XRD peak list, Cu Kα, 1.54184 Å. Input: a PBE-relaxed structure.

Cell and atoms:
Lattice parameters (Å, degrees): 4.976 3.171 14.792 90.00 94.11 90.00
Space group P2/m (No. 10)
Symmetry-distinct sites (fractional):
Li 0.000 0.000 0.000 (multiplicity 1)
Li 0.071 0.500 0.815 (multiplicity 2)
Li 0.241 0.500 0.499 (multiplicity 2)
Li 0.432 0.000 0.149 (multiplicity 2)
Mg 0.456 0.500 0.317 (multiplicity 2)
Hg 0.038 0.000 0.648 (multiplicity 2)
Hg 0.500 0.500 0.000 (multiplicity 1)

Most intense lines, 15° ≤ 2θ ≤ 90°, in order of rising 2θ:
(0 0 3), 18.0°, I = 100
(1 0 -1), 18.4°, I = 58
(1 0 1), 19.3°, I = 29
(1 0 2), 22.3°, I = 21
(0 1 1), 28.8°, I = 29
(1 0 -4), 29.1°, I = 26
(1 1 0), 33.5°, I = 51
(0 1 4), 37.4°, I = 30
(1 1 -3), 37.7°, I = 34
(1 1 3), 39.0°, I = 37


[8]
# Li12Mg2Hg
Computed XRD peak list, Cu Kα, 1.54184 Å. Input: a PBE-relaxed structure.

Cell and atoms:
Lattice parameters (Å, degrees): 5.624 5.624 19.563 90.00 90.00 90.00
Space group P4/nbm (No. 125, origin choice 2)
Symmetry-distinct sites (fractional):
Li 0.000 0.000 0.101 (multiplicity 8)
Li 0.072 0.572 0.436 (multiplicity 8)
Li 0.250 0.250 0.207 (multiplicity 4)
Li 0.250 0.250 0.338 (multiplicity 4)
Mg 0.250 0.750 0.272 (multiplicity 4)
Hg 0.250 0.750 0.000 (multiplicity 2)

Most intense lines, 15° ≤ 2θ ≤ 90°, in order of rising 2θ:
(0 0 4), 18.1°, I = 50
(1 1 0), 22.4°, I = 68
(1 1 1), 22.8°, I = 100
(1 1 2), 24.2°, I = 55
(1 1 3), 26.2°, I = 78
(1 1 4), 28.9°, I = 79
(0 0 7), 32.1°, I = 41
(2 0 3), 34.7°, I = 45
(2 0 4), 36.9°, I = 47
(1 1 7), 39.4°, I = 60


[9]
# Li7Mg4Hg
Computed XRD peak list, Cu Kα, 1.54184 Å. Input: a PBE-relaxed structure.

Cell and atoms:
Lattice parameters (Å, degrees): 4.7941 4.7941 11.6888 90.00 90.00 120.00
Space group P-3m1 (No. 164)
Symmetry-distinct sites (fractional):
Li 0.0000 0.0000 0.0000 (multiplicity 1)
Li 0.0000 0.0000 0.2529 (multiplicity 2)
Li 0.3333 0.6667 0.1748 (multiplicity 2)
Li 0.3333 0.6667 0.4214 (multiplicity 2)
Mg 0.3333 0.6667 0.6578 (multiplicity 2)
Mg 0.3333 0.6667 0.9206 (multiplicity 2)
Hg 0.0000 0.0000 0.5000 (multiplicity 1)

Most intense lines, 15° ≤ 2θ ≤ 90°, in order of rising 2θ:
(0 0 2), 15.2°, I = 36
(1 0 0), 21.4°, I = 28
(0 1 1), 22.7°, I = 100
(0 1 2), 26.3°, I = 55
(0 1 3), 31.5°, I = 47
(1 1 0), 37.5°, I = 35
(1 0 4), 37.6°, I = 42
(1 1 2), 40.7°, I = 20
(2 0 1), 44.3°, I = 25
(3 0 0), 67.8°, I = 21


[10]
# Li7Mg3Hg4
Computed XRD peak list, Cu Kα, 1.54184 Å. Input: a PBE-relaxed structure.

Cell and atoms:
Lattice parameters (Å, degrees): 14.739 4.585 9.949 90.00 129.32 90.00
Space group C2/m (No. 12)
Symmetry-distinct sites (fractional):
Li 0.000 0.000 0.000 (multiplicity 2)
Li 0.145 0.000 0.553 (multiplicity 4)
Li 0.161 0.500 0.080 (multiplicity 4)
Li 0.212 0.500 0.863 (multiplicity 4)
Mg 0.000 0.500 0.500 (multiplicity 2)
Mg 0.075 0.500 0.279 (multiplicity 4)
Hg 0.081 0.000 0.788 (multiplicity 4)
Hg 0.220 0.000 0.334 (multiplicity 4)

Most intense lines, 15° ≤ 2θ ≤ 90°, in order of rising 2θ:
(1 1 0), 20.9°, I = 43
(0 0 2), 23.1°, I = 43
(4 0 -1), 25.5°, I = 58
(3 1 -1), 26.8°, I = 63
(1 1 -2), 27.3°, I = 100
(4 0 -3), 28.5°, I = 30
(5 1 -3), 37.6°, I = 54
(3 1 1), 37.9°, I = 65
(2 0 -4), 38.8°, I = 31
(5 1 -5), 50.0°, I = 31


[11]
# Li3MgHg12
Computed XRD peak list, Cu Kα, 1.54184 Å. Input: a PBE-relaxed structure.

Cell and atoms:
Lattice parameters (Å, degrees): 4.415 4.415 18.634 90.00 90.00 90.00
Space group P4/mmm (No. 123)
Symmetry-distinct sites (fractional):
Li 0.000 0.000 0.000 (multiplicity 1)
Li 0.000 0.000 0.248 (multiplicity 2)
Mg 0.000 0.000 0.500 (multiplicity 1)
Hg 0.000 0.500 0.123 (multiplicity 4)
Hg 0.000 0.500 0.371 (multiplicity 4)
Hg 0.500 0.500 0.000 (multiplicity 1)
Hg 0.500 0.500 0.247 (multiplicity 2)
Hg 0.500 0.500 0.500 (multiplicity 1)

Most intense lines, 15° ≤ 2θ ≤ 90°, in order of rising 2θ:
(1 0 0), 20.1°, I = 18
(1 0 4), 27.8°, I = 17
(1 1 4), 34.6°, I = 100
(0 0 8), 38.7°, I = 18
(2 0 0), 40.9°, I = 32
(2 0 8), 57.5°, I = 23
(2 2 0), 59.2°, I = 11
(1 1 12), 67.4°, I = 14
(3 1 4), 70.4°, I = 26
(2 2 8), 73.0°, I = 12


[12]
# Li2MgHg5
Computed XRD peak list, Cu Kα, 1.54184 Å. Input: a PBE-relaxed structure.

Cell and atoms:
Lattice parameters (Å, degrees): 7.771 7.771 11.317 90.00 90.00 90.00
Space group I4/mcm (No. 140)
Symmetry-distinct sites (fractional):
Li 0.144 0.356 0.000 (multiplicity 8)
Mg 0.000 0.000 0.250 (multiplicity 4)
Hg 0.000 0.000 0.000 (multiplicity 4)
Hg 0.153 0.347 0.345 (multiplicity 16)

Most intense lines, 15° ≤ 2θ ≤ 90°, in order of rising 2θ:
(1 1 2), 22.6°, I = 29
(2 1 1), 26.8°, I = 60
(2 0 2), 27.9°, I = 18
(2 1 3), 35.1°, I = 100
(1 1 4), 35.7°, I = 22
(3 1 0), 36.6°, I = 55
(2 0 4), 39.4°, I = 18
(3 3 4), 60.2°, I = 17
(3 1 6), 62.0°, I = 18
(5 2 3), 69.8°, I = 21